Starting from DFT lattice parameters and positions (PBE), the PXRD pattern of Ba2Mg12Al5 was computed for Cu Kα X-rays.
Peak positions follow from Bragg's law for the DFT cell and can differ from measured ones.

Cell and atoms:
Cell lengths 7.778, 7.778, 7.778 Å; angles 82.99, 82.99, 82.99 degrees
Fractional coordinates of all 19 atoms:
1 Ba 0.175 0.175 0.175
2 Ba 0.825 0.825 0.825
3 Mg 0.158 0.158 0.648
4 Mg 0.158 0.648 0.158
5 Mg 0.210 0.500 0.790
6 Mg 0.210 0.790 0.500
7 Mg 0.352 0.842 0.842
8 Mg 0.500 0.210 0.790
9 Mg 0.500 0.790 0.210
10 Mg 0.648 0.158 0.158
11 Mg 0.790 0.210 0.500
12 Mg 0.790 0.500 0.210
13 Mg 0.842 0.352 0.842
14 Mg 0.842 0.842 0.352
15 Al 0.000 0.500 0.500
16 Al 0.409 0.409 0.409
17 Al 0.500 0.000 0.500
18 Al 0.500 0.500 0.000
19 Al 0.591 0.591 0.591

Largest 10 diffraction maxima, in order of rising 2θ, 10 to 90 degrees two-theta:
| 2theta | Rel. int. |
| --- | --- |
| 15.42 | 24.9 |
| 17.21 | 38.5 |
| 24.79 | 80.5 |
| 30.03 | 48.5 |
| 34.82 | 59.7 |
| 35.08 | 100.0 |
| 35.84 | 32.5 |
| 36.03 | 24.9 |
| 50.26 | 29.8 |
| 50.83 | 26.4 |

=====

Starting from DFT lattice parameters and positions (PBE), the PXRD pattern of Ba2Mg6Al3 was computed for Cu Kα X-rays.
Peak positions follow from Bragg's law for the DFT cell and can differ from measured ones.

Cell and atoms:
Cell lengths 8.832, 8.832, 4.703 Å; angles 90.00, 90.00, 120.00 degrees
Fractional coordinates of all 11 atoms:
1 Ba 0.333 0.667 0.000
2 Ba 0.667 0.333 0.000
3 Mg 0.000 0.286 0.500
4 Mg 0.000 0.800 0.000
5 Mg 0.200 0.200 0.000
6 Mg 0.286 0.000 0.500
7 Mg 0.714 0.714 0.500
8 Mg 0.800 0.000 0.000
9 Al 0.000 0.625 0.500
10 Al 0.375 0.375 0.500
11 Al 0.625 0.000 0.500

Largest 10 diffraction maxima, in order of rising 2θ, 10 to 90 degrees two-theta:
| 2theta | Rel. int. |
| --- | --- |
| 11.57 | 24.2 |
| 20.11 | 34.1 |
| 27.71 | 100.0 |
| 30.12 | 17.2 |
| 30.93 | 21.5 |
| 35.20 | 32.7 |
| 36.48 | 31.6 |
| 45.38 | 19.9 |
| 52.97 | 19.8 |
| 58.68 | 31.0 |

=====

Starting from DFT lattice parameters and positions (PBE), the PXRD pattern of Ba2Mg16Al was computed for Cu Kα X-rays.
Peak positions follow from Bragg's law for the DFT cell and can differ from measured ones.

Cell and atoms:
Cell lengths 7.987, 7.987, 7.987 Å; angles 82.77, 82.77, 82.77 degrees
Fractional coordinates of all 19 atoms:
1 Ba 0.000 0.000 0.000
2 Ba 0.330 0.330 0.330
3 Mg 0.012 0.012 0.511
4 Mg 0.012 0.511 0.012
5 Mg 0.167 0.663 0.663
6 Mg 0.319 0.319 0.817
7 Mg 0.319 0.817 0.319
8 Mg 0.373 0.664 0.956
9 Mg 0.373 0.956 0.664
10 Mg 0.511 0.012 0.012
11 Mg 0.663 0.167 0.663
12 Mg 0.663 0.663 0.167
13 Mg 0.664 0.373 0.956
14 Mg 0.664 0.956 0.373
15 Mg 0.754 0.754 0.754
16 Mg 0.817 0.319 0.319
17 Mg 0.956 0.373 0.664
18 Mg 0.956 0.664 0.373
19 Al 0.564 0.564 0.564

Largest 10 diffraction maxima, in order of rising 2θ, 10 to 90 degrees two-theta:
| 2theta | Rel. int. |
| --- | --- |
| 16.79 | 37.7 |
| 24.12 | 78.6 |
| 29.29 | 48.8 |
| 30.26 | 22.4 |
| 33.95 | 58.6 |
| 34.16 | 100.0 |
| 34.78 | 42.9 |
| 48.92 | 37.4 |
| 49.40 | 31.1 |
| 55.13 | 21.9 |